Theoretical XRD peak list
Compound: PrAsH2Ir
Radiation: a wavelength of 1.5418 Å
Structure: a structure optimized by DFT (PBE)
Peak positions follow from Bragg's law for the DFT cell and can differ from measured ones.

Atomic structure:
```
PrAsH2Ir
1.0
1.9573 -5.1748 0.0000
1.9573 5.1748 0.0000
0.0000 0.0000 6.9033
Pr As H Ir
2 2 4 2
Cartesian
1.9573 2.9138 5.1775 Pr
1.9573 -2.9138 1.7258 Pr
1.9573 4.5599 1.7258 As
1.9573 -4.5599 5.1775 As
1.9573 1.6733 0.3785 H
1.9573 1.6733 3.0732 H
1.9573 -1.6733 3.8301 H
1.9573 -1.6733 6.5249 H
1.9573 0.0000 0.0000 Ir
1.9573 0.0000 3.4517 Ir
```

Top 10 peaks for 10° ≤ 2θ ≤ 90°, sorted by position:
17.14°, d = 5.175 Å, I 23
27.58°, d = 3.235 Å, I 28
31.15°, d = 2.871 Å, I 59
34.66°, d = 2.588 Å, I 62
35.75°, d = 2.512 Å, I 100
37.10°, d = 2.423 Å, I 55
46.39°, d = 1.957 Å, I 24
56.95°, d = 1.617 Å, I 47
64.95°, d = 1.436 Å, I 21
79.01°, d = 1.212 Å, I 25


Theoretical XRD peak list
Compound: NiB2I
Radiation: a wavelength of 1.5418 Å
Structure: a structure optimized by DFT (PBE)
Peak positions follow from Bragg's law for the DFT cell and can differ from measured ones.

Atomic structure:
```
NiB2I
1.0
3.9379 0.0000 0.0000
0.0000 3.9379 0.0000
0.0000 0.0000 14.1715
Ni B I
4 8 4
Cartesian
0.0000 0.9845 5.3143 Ni
0.0000 2.9534 8.8572 Ni
1.9690 0.9845 1.7714 Ni
1.9690 2.9534 12.4001 Ni
0.0000 0.0000 7.0858 B
0.0000 1.9690 7.0858 B
0.9845 0.9845 3.5429 B
0.9845 2.9534 10.6287 B
1.9690 0.0000 0.0000 B
1.9690 1.9690 0.0000 B
2.9534 0.9845 3.5429 B
2.9534 2.9534 10.6287 B
0.0000 0.9845 12.4001 I
0.0000 2.9534 1.7714 I
1.9690 0.9845 8.8572 I
1.9690 2.9534 5.3143 I
```

Top 10 peaks for 10° ≤ 2θ ≤ 90°, sorted by position:
25.14°, d = 3.543 Å, I 47
29.53°, d = 3.025 Å, I 11
34.61°, d = 2.592 Å, I 100
46.10°, d = 1.969 Å, I 22
50.68°, d = 1.801 Å, I 34
53.22°, d = 1.721 Å, I 28
71.66°, d = 1.317 Å, I 11
73.02°, d = 1.296 Å, I 12
77.89°, d = 1.226 Å, I 18
88.83°, d = 1.102 Å, I 13


Theoretical XRD peak list
Compound: NdDyTh14
Radiation: a wavelength of 1.5418 Å
Structure: a structure optimized by DFT (PBE)
Peak positions follow from Bragg's law for the DFT cell and can differ from measured ones.

Atomic structure:
```
NdDyTh14
1.0
11.6119 0.0000 0.0000
0.0000 3.5897 6.2250
0.0000 -3.5897 6.2250
Nd Dy Th
1 1 14
Cartesian
0.0000 0.0000 0.0000 Nd
0.0000 0.0000 6.2172 Dy
0.0000 -1.8020 9.2964 Th
0.0000 1.8020 9.2964 Th
2.9082 0.0000 8.2805 Th
2.9178 -1.7901 5.1657 Th
2.9178 1.7901 5.1657 Th
2.9261 0.0000 2.0625 Th
5.8060 0.0000 4.1348 Th
5.8060 -1.7923 7.2449 Th
5.8060 1.7923 7.2449 Th
5.8060 0.0000 10.3577 Th
8.6858 0.0000 2.0625 Th
8.6941 -1.7901 5.1657 Th
8.6941 1.7901 5.1657 Th
8.7037 0.0000 8.2805 Th
```

Top 10 peaks for 10° ≤ 2θ ≤ 90°, sorted by position:
29.73°, d = 3.005 Å, I 38
30.80°, d = 2.903 Å, I 33
32.66°, d = 2.742 Å, I 100
37.08°, d = 2.425 Å, I 21
48.95°, d = 1.861 Å, I 10
50.84°, d = 1.796 Å, I 26
55.96°, d = 1.643 Å, I 22
60.63°, d = 1.527 Å, I 30
61.75°, d = 1.502 Å, I 17
86.14°, d = 1.129 Å, I 12